# SmSeO3
Computed X-ray powder pattern, λ = 1.5418 Å (Cu Kα). Input: a structure optimized by DFT (GGA-PBE).
Intensities are scaled so that the largest is 100.

Atomic structure:
```
data_SmSeO3
_symmetry_space_group_name_H-M 'P 1 21/c 1'
_symmetry_Int_Tables_number 14
_cell_length_a 6.0149
_cell_length_b 7.1471
_cell_length_c 7.9108
_cell_angle_alpha 90.00
_cell_angle_beta 116.63
_cell_angle_gamma 90.00
loop_
_symmetry_equiv_pos_as_xyz
'x,y,z'
'-x,-y,-z'
'-x,y+1/2,-z+1/2'
'x,-y+1/2,z+1/2'
loop_
_atom_site_label
_atom_site_type_symbol
_atom_site_fract_x
_atom_site_fract_y
_atom_site_fract_z
_atom_site_occupancy
Sm1 Sm 0.1320 0.1258 0.3741 1
Se1 Se 0.3696 0.6429 0.6162 1
O1 O 0.0037 0.1694 0.6071 1
O2 O 0.2395 0.0330 0.9536 1
O3 O 0.4782 0.5272 0.8354 1
```

Peak list (8 most intense, 2θ from 5° to 70°, in order of rising 2θ)
2θ (°), Rel. int., hkl
27.90, 58.3, 1 1 1
28.16, 56.6, 0 1 2
29.53, 100.0, 1 2 -1
31.51, 53.5, 2 0 -2
35.68, 37.4, 2 1 0
36.32, 20.8, 1 1 -3
45.77, 29.4, 1 3 1
51.71, 31.9, 0 0 4



# Pu4PdPb3
Computed X-ray powder pattern, λ = 1.5418 Å (Cu Kα). Input: a structure optimized by DFT (GGA-PBE).
Intensities are scaled so that the largest is 100.

Atomic structure:
```
data_Pu4PdPb3
_symmetry_space_group_name_H-M 'P 4/m m m'
_symmetry_Int_Tables_number 123
_symmetry_space_group_name_Hall '-P 4 2'
_cell_length_a 3.4459
_cell_length_b 3.4459
_cell_length_c 17.8433
_cell_angle_alpha 90.00
_cell_angle_beta 90.00
_cell_angle_gamma 90.00
loop_
_atom_site_label
_atom_site_type_symbol
_atom_site_fract_x
_atom_site_fract_y
_atom_site_fract_z
_atom_site_occupancy
Pu1 Pu 0.0000 0.0000 0.1019 1
Pu2 Pu 0.0000 0.0000 0.3688 1
Pd1 Pd 0.5000 0.5000 0.0000 1
Pb1 Pb 0.5000 0.5000 0.2371 1
Pb2 Pb 0.5000 0.5000 0.5000 1
```

Peak list (8 most intense, 2θ from 5° to 70°, in order of rising 2θ)
2θ (°), Rel. int., hkl
29.98, 9.6, 1 0 3
32.84, 100.0, 1 0 4
36.89, 41.9, 1 1 0
40.44, 9.6, 0 0 8
53.16, 15.0, 2 0 0
55.88, 15.2, 1 1 8
63.37, 9.4, 1 0 11
63.91, 30.7, 2 1 4



# Rb3Y3PuTe8
Computed X-ray powder pattern, λ = 1.5418 Å (Cu Kα). Input: a structure optimized by DFT (GGA-PBE).
Intensities are scaled so that the largest is 100.

Atomic structure:
```
data_Rb3Y3PuTe8
_symmetry_space_group_name_H-M 'R -3 m'
_symmetry_Int_Tables_number 166
_symmetry_space_group_name_Hall '-R 3 2"'
_cell_length_a 8.9471
_cell_length_b 8.9471
_cell_length_c 26.1451
_cell_angle_alpha 90.00
_cell_angle_beta 90.00
_cell_angle_gamma 120.00
loop_
_atom_site_label
_atom_site_type_symbol
_atom_site_fract_x
_atom_site_fract_y
_atom_site_fract_z
_atom_site_occupancy
Rb1 Rb 0.0000 0.5000 0.0000 1
Y1 Y 0.0000 0.5000 0.5000 1
Pu1 Pu 0.0000 0.0000 0.5000 1
Te1 Te 0.0000 0.0000 0.2332 1
Te2 Te 0.0001 0.5001 0.2322 1
```

Peak list (8 most intense, 2θ from 5° to 70°, in order of rising 2θ)
2θ (°), Rel. int., hkl
10.15, 35.4, 0 0 3
26.75, 100.0, 0 2 4
33.32, 17.8, 0 2 7
35.95, 32.2, 2 0 8
40.32, 37.0, 2 2 0
44.73, 12.3, 2 0 11
49.05, 18.7, 4 0 4
65.30, 15.8, 2 4 4



# SrNdTe2O8
Computed X-ray powder pattern, λ = 1.5418 Å (Cu Kα). Input: a structure optimized by DFT (GGA-PBE).
Intensities are scaled so that the largest is 100.

Atomic structure:
```
data_SrNdTe2O8
_symmetry_space_group_name_H-M 'I -4'
_symmetry_Int_Tables_number 82
_cell_length_a 5.4841
_cell_length_b 5.4841
_cell_length_c 11.8731
_cell_angle_alpha 90.00
_cell_angle_beta 90.00
_cell_angle_gamma 90.00
loop_
_symmetry_equiv_pos_as_xyz
'x,y,z'
'y,-x,-z'
'-x,-y,z'
'-y,x,-z'
'x+1/2,y+1/2,z+1/2'
'y+1/2,-x+1/2,-z+1/2'
'-x+1/2,-y+1/2,z+1/2'
'-y+1/2,x+1/2,-z+1/2'
loop_
_atom_site_label
_atom_site_type_symbol
_atom_site_fract_x
_atom_site_fract_y
_atom_site_fract_z
_atom_site_occupancy
Sr1 Sr 0.0000 0.0000 0.0000 1
Nd1 Nd 0.0000 0.5000 0.7500 1
Te1 Te 0.0000 0.0000 0.5000 1
Te2 Te 0.0000 0.5000 0.2500 1
O1 O 0.1553 0.2537 0.5906 1
O2 O 0.1644 0.7400 0.1690 1
```

Peak list (8 most intense, 2θ from 5° to 70°, in order of rising 2θ)
2θ (°), Rel. int., hkl
27.47, 100.0, 1 1 2
30.11, 13.9, 0 0 4
32.66, 20.2, 2 0 0
45.01, 31.2, 2 0 4
46.86, 14.0, 2 2 0
51.87, 16.9, 1 1 6
55.18, 28.1, 1 3 2
56.71, 11.7, 2 2 4



# Pm3Nd5
Computed X-ray powder pattern, λ = 1.5418 Å (Cu Kα). Input: a structure optimized by DFT (GGA-PBE).
Intensities are scaled so that the largest is 100.

Atomic structure:
```
data_Pm3Nd5
_symmetry_space_group_name_H-M 'P m m m'
_symmetry_Int_Tables_number 47
_cell_length_a 5.1847
_cell_length_b 5.1872
_cell_length_c 10.3747
_cell_angle_alpha 90.00
_cell_angle_beta 90.00
_cell_angle_gamma 90.00
loop_
_symmetry_equiv_pos_as_xyz
'x,y,z'
'-x,-y,-z'
'-x,-y,z'
'x,y,-z'
'x,-y,-z'
'-x,y,z'
'-x,y,-z'
'x,-y,z'
loop_
_atom_site_label
_atom_site_type_symbol
_atom_site_fract_x
_atom_site_fract_y
_atom_site_fract_z
_atom_site_occupancy
Pm1 Pm 0.0000 0.0000 0.0000 1
Pm2 Pm 0.0000 0.5000 0.2496 1
Nd1 Nd 0.0000 0.0000 0.5000 1
Nd2 Nd 0.5000 0.0000 0.2494 1
Nd3 Nd 0.5000 0.5000 0.0000 1
Nd4 Nd 0.5000 0.5000 0.5000 1
```

Peak list (5 most intense, 2θ from 5° to 70°, in order of rising 2θ)
2θ (°), Rel. int., hkl
29.84, 100.0, 1 1 2
34.59, 50.7, 2 0 0
49.72, 36.4, 2 2 0
59.08, 43.3, 3 1 2
61.98, 12.5, 2 2 4



# Cd5Si7
Computed X-ray powder pattern, λ = 1.5418 Å (Cu Kα). Input: a structure optimized by DFT (GGA-PBE).
Intensities are scaled so that the largest is 100.

Atomic structure:
```
data_Cd5Si7
_symmetry_space_group_name_H-M 'I 4 m m'
_symmetry_Int_Tables_number 107
_symmetry_space_group_name_Hall 'I 4 -2'
_cell_length_a 8.4897
_cell_length_b 8.4897
_cell_length_c 6.9675
_cell_angle_alpha 90.00
_cell_angle_beta 90.00
_cell_angle_gamma 90.00
loop_
_atom_site_label
_atom_site_type_symbol
_atom_site_fract_x
_atom_site_fract_y
_atom_site_fract_z
_atom_site_occupancy
Cd1 Cd 0.0000 0.0000 0.0000 1
Cd2 Cd 0.1926 0.1926 0.7470 1
Si1 Si 0.0000 0.0000 0.3675 1
Si2 Si 0.0000 0.3001 0.3816 1
Si3 Si 0.0000 0.5000 0.1282 1
```

Peak list (8 most intense, 2θ from 5° to 70°, in order of rising 2θ)
2θ (°), Rel. int., hkl
16.46, 37.9, 1 0 1
25.57, 26.0, 0 0 2
26.74, 47.8, 2 1 1
29.77, 39.3, 2 2 0
33.27, 90.1, 2 0 2
34.20, 100.0, 3 0 1
40.44, 44.5, 3 2 1
42.53, 47.3, 4 0 0



# LaSb3Rh5
Computed X-ray powder pattern, λ = 1.5418 Å (Cu Kα). Input: a structure optimized by DFT (GGA-PBE).
Intensities are scaled so that the largest is 100.

Atomic structure:
```
data_LaSb3Rh5
_symmetry_space_group_name_H-M 'C m c m'
_symmetry_Int_Tables_number 63
_symmetry_space_group_name_Hall '-C 2c 2'
_cell_length_a 4.0632
_cell_length_b 13.6736
_cell_length_c 13.2716
_cell_angle_alpha 90.00
_cell_angle_beta 90.00
_cell_angle_gamma 90.00
loop_
_atom_site_label
_atom_site_type_symbol
_atom_site_fract_x
_atom_site_fract_y
_atom_site_fract_z
_atom_site_occupancy
La1 La 0.0000 0.1167 0.2500 1
Sb1 Sb 0.0000 0.1240 0.7500 1
Sb2 Sb 0.0000 0.3786 0.5376 1
Rh1 Rh 0.0000 0.0000 0.0000 1
Rh2 Rh 0.0000 0.1957 0.5686 1
Rh3 Rh 0.0000 0.4578 0.1458 1
```

Peak list (8 most intense, 2θ from 5° to 70°, in order of rising 2θ)
2θ (°), Rel. int., hkl
12.95, 27.2, 0 2 0
30.58, 49.7, 1 1 3
32.46, 57.2, 1 3 2
35.54, 51.7, 1 1 4
37.79, 25.5, 0 4 4
41.15, 36.6, 1 1 5
42.09, 100.0, 1 5 2
44.60, 56.2, 2 0 0



# BaMn2Cl6
Computed X-ray powder pattern, λ = 1.5418 Å (Cu Kα). Input: a structure optimized by DFT (GGA-PBE).
Intensities are scaled so that the largest is 100.

Atomic structure:
```
data_BaMn2Cl6
_symmetry_space_group_name_H-M 'C 1 2/m 1'
_symmetry_Int_Tables_number 12
_cell_length_a 13.8234
_cell_length_b 5.1613
_cell_length_c 8.7472
_cell_angle_alpha 90.00
_cell_angle_beta 105.02
_cell_angle_gamma 90.00
loop_
_symmetry_equiv_pos_as_xyz
'x,y,z'
'-x,-y,-z'
'-x,y,-z'
'x,-y,z'
'x+1/2,y+1/2,z'
'-x+1/2,-y+1/2,-z'
'-x+1/2,y+1/2,-z'
'x+1/2,-y+1/2,z'
loop_
_atom_site_label
_atom_site_type_symbol
_atom_site_fract_x
_atom_site_fract_y
_atom_site_fract_z
_atom_site_occupancy
Ba1 Ba 0.0000 0.0000 0.0000 1
Mn1 Mn 0.2342 0.0000 0.6566 1
Cl1 Cl 0.0785 0.0000 0.7055 1
Cl2 Cl 0.1340 0.5000 0.1030 1
Cl3 Cl 0.2317 0.0000 0.3741 1
```

Peak list (8 most intense, 2θ from 5° to 70°, in order of rising 2θ)
2θ (°), Rel. int., hkl
14.63, 100.0, 2 0 -1
18.43, 78.0, 1 1 0
18.96, 80.9, 2 0 1
21.79, 57.1, 2 0 -2
22.09, 51.8, 1 1 1
26.46, 51.2, 3 1 -1
30.44, 69.0, 3 1 1
34.76, 58.7, 0 2 0